This entry pairs a crystal structure of ZnMo3P3O13 with its calculated X-ray powder pattern. Radiation: Cu Kα, 1.54184 Å. Structure: DFT lattice parameters and positions (GGA+U).

Unit cell a=7.7445 b=6.6619 c=10.8021 alpha=90.00 beta=99.46 gamma=90.00
Atoms (fractional coordinates):
Zn: 0.0874 0.2500 0.1495
Zn: 0.9126 0.7500 0.8505
Mo: 0.1417 0.2500 0.7906
Mo: 0.2695 0.7500 0.4420
Mo: 0.5000 0.0000 0.0000
Mo: 0.5000 0.5000 0.0000
Mo: 0.7305 0.2500 0.5580
Mo: 0.8583 0.7500 0.2094
P: 0.1831 0.7500 0.1132
P: 0.2347 0.7500 0.7667
P: 0.2822 0.2500 0.5036
P: 0.7178 0.7500 0.4964
P: 0.7653 0.2500 0.2333
P: 0.8169 0.2500 0.8868
O: 0.0091 0.2500 0.9644
O: 0.1121 0.5718 0.7906
O: 0.1121 0.9282 0.7906
O: 0.1454 0.7500 0.2503
O: 0.1493 0.2500 0.5981
O: 0.2468 0.0651 0.4163
O: 0.2468 0.4349 0.4163
O: 0.2743 0.5503 0.0911
O: 0.2743 0.9497 0.0911
O: 0.2951 0.7500 0.6415
O: 0.3853 0.2500 0.8989
O: 0.3996 0.7500 0.8738
O: 0.4694 0.2500 0.5811
O: 0.5306 0.7500 0.4189
O: 0.6004 0.2500 0.1262
O: 0.6147 0.7500 0.1011
O: 0.7049 0.2500 0.3585
O: 0.7257 0.0503 0.9089
O: 0.7257 0.4497 0.9089
O: 0.7532 0.5651 0.5837
O: 0.7532 0.9349 0.5837
O: 0.8507 0.7500 0.4019
O: 0.8546 0.2500 0.7497
O: 0.8879 0.0718 0.2094
O: 0.8879 0.4282 0.2094
O: 0.9909 0.7500 0.0356

Main lines, in order of rising 2θ (15° ≤ 2θ ≤ 90°):
d/Å, I (rel.)
4.751, 1000
3.799, 302
3.421, 449
3.331, 541
3.055, 437
3.036, 793
2.885, 439
2.845, 288
2.430, 422
1.666, 334


This entry pairs a crystal structure of Mn2Si2Pb2O9 with its calculated X-ray powder pattern. Radiation: Cu Kα, 1.54184 Å. Structure: DFT lattice parameters and positions (GGA+U).

Unit cell a=6.3278 b=6.3278 c=11.3407 alpha=90.00 beta=90.00 gamma=108.27
Atoms (fractional coordinates):
Mn: 0.0868 0.0868 0.0000
Mn: 0.1851 0.8149 0.7500
Mn: 0.8149 0.1851 0.2500
Mn: 0.9132 0.9132 0.5000
Si: 0.1084 0.2987 0.7730
Si: 0.2987 0.1084 0.2270
Si: 0.7013 0.8916 0.7270
Si: 0.8916 0.7013 0.2730
Pb: 0.2211 0.5655 0.4717
Pb: 0.4345 0.7789 0.0283
Pb: 0.5655 0.2211 0.5283
Pb: 0.7789 0.4345 0.9717
O: 0.0813 0.7951 0.9661
O: 0.1294 0.3772 0.9137
O: 0.1338 0.2591 0.2408
O: 0.1592 0.8408 0.2500
O: 0.1711 0.5183 0.6877
O: 0.2049 0.9187 0.5339
O: 0.2591 0.1338 0.7592
O: 0.3772 0.1294 0.0863
O: 0.4817 0.8289 0.8123
O: 0.5183 0.1711 0.3123
O: 0.6228 0.8706 0.5863
O: 0.7409 0.8662 0.2592
O: 0.7951 0.0813 0.0339
O: 0.8289 0.4817 0.1877
O: 0.8408 0.1592 0.7500
O: 0.8662 0.7409 0.7408
O: 0.8706 0.6228 0.4137
O: 0.9187 0.2049 0.4661

Main lines, in order of rising 2θ (15° ≤ 2θ ≤ 90°):
d/Å, I (rel.)
5.670, 663
4.124, 371
3.524, 1000
3.200, 307
3.104, 381
2.994, 548
2.835, 420
2.723, 781
2.647, 272
1.972, 467


This entry pairs a crystal structure of Li8Fe3Co5O16 with its calculated X-ray powder pattern. Radiation: Cu Kα, 1.54184 Å. Structure: DFT lattice parameters and positions (GGA+U).

Unit cell a=5.0873 b=2.8960 c=18.9502 alpha=90.00 beta=94.61 gamma=90.00
Atoms (fractional coordinates):
Li: 0.0000 0.0000 0.0000
Li: 0.1250 0.5000 0.8722
Li: 0.2507 0.0000 0.7470
Li: 0.3753 0.5000 0.6221
Li: 0.5000 0.0000 0.5000
Li: 0.6247 0.5000 0.3779
Li: 0.7493 0.0000 0.2530
Li: 0.8750 0.5000 0.1278
Fe: 0.3706 0.0000 0.1306
Fe: 0.5000 0.5000 0.0000
Fe: 0.6294 0.0000 0.8694
Co: 0.0000 0.5000 0.5000
Co: 0.1241 0.0000 0.3778
Co: 0.2459 0.5000 0.2555
Co: 0.7541 0.5000 0.7445
Co: 0.8759 0.0000 0.6222
O: 0.0309 0.5000 0.6804
O: 0.0806 0.0000 0.1978
O: 0.1566 0.0000 0.5584
O: 0.1998 0.5000 0.0666
O: 0.2807 0.5000 0.4362
O: 0.3274 0.0000 0.9365
O: 0.4022 0.0000 0.3137
O: 0.4600 0.5000 0.8066
O: 0.5400 0.5000 0.1934
O: 0.5978 0.0000 0.6863
O: 0.6726 0.0000 0.0635
O: 0.7193 0.5000 0.5638
O: 0.8002 0.5000 0.9334
O: 0.8434 0.0000 0.4416
O: 0.9194 0.0000 0.8022
O: 0.9691 0.5000 0.3196

Main lines, in order of rising 2θ (15° ≤ 2θ ≤ 90°):
d/Å, I (rel.)
4.802, 1000
2.468, 390
2.368, 91
2.056, 708
1.892, 87
1.590, 138
1.463, 129
1.448, 66
1.445, 120
1.386, 88


This entry pairs a crystal structure of Mn9P8O32 with its calculated X-ray powder pattern. Radiation: Cu Kα, 1.54184 Å. Structure: DFT lattice parameters and positions (GGA+U).

Unit cell a=8.9234 b=8.9819 c=9.2842 alpha=112.15 beta=99.84 gamma=102.27
Atoms (fractional coordinates):
Mn: 0.0000 0.0000 0.0000
Mn: 0.0000 0.5000 0.5000
Mn: 0.2201 0.2038 0.4471
Mn: 0.2827 0.6250 0.0601
Mn: 0.3253 0.1954 0.9510
Mn: 0.5000 0.0000 0.5000
Mn: 0.6747 0.8046 0.0490
Mn: 0.7173 0.3750 0.9399
Mn: 0.7799 0.7962 0.5529
P: 0.0507 0.3842 0.1523
P: 0.1490 0.8764 0.5970
P: 0.3415 0.0384 0.2193
P: 0.4051 0.4564 0.7950
P: 0.5949 0.5436 0.2050
P: 0.6585 0.9616 0.7807
P: 0.8510 0.1236 0.4030
P: 0.9493 0.6158 0.8477
O: 0.0265 0.1686 0.5043
O: 0.0850 0.3878 0.3245
O: 0.1206 0.2477 0.0532
O: 0.1251 0.5581 0.1588
O: 0.1334 0.6697 0.9166
O: 0.1608 0.0254 0.2190
O: 0.1654 0.9826 0.7787
O: 0.1767 0.7034 0.5703
O: 0.2666 0.9763 0.5367
O: 0.2908 0.3569 0.8591
O: 0.3186 0.4294 0.6253
O: 0.3739 0.0665 0.0764
O: 0.3916 0.8874 0.2280
O: 0.4237 0.1884 0.3941
O: 0.4379 0.5873 0.2089
O: 0.4418 0.6447 0.9241
O: 0.5582 0.3553 0.0759
O: 0.5621 0.4127 0.7911
O: 0.5763 0.8116 0.6059
O: 0.6084 0.1126 0.7720
O: 0.6261 0.9335 0.9236
O: 0.6814 0.5706 0.3747
O: 0.7092 0.6431 0.1409
O: 0.7334 0.0237 0.4633
O: 0.8233 0.2966 0.4297
O: 0.8346 0.0174 0.2213
O: 0.8392 0.9746 0.7810
O: 0.8666 0.3303 0.0834
O: 0.8749 0.4419 0.8412
O: 0.8794 0.7523 0.9468
O: 0.9150 0.6122 0.6755
O: 0.9735 0.8314 0.4957

Main lines, in order of rising 2θ (15° ≤ 2θ ≤ 90°):
d/Å, I (rel.)
5.519, 1000
4.131, 507
3.785, 326
3.722, 450
3.306, 369
3.288, 420
2.900, 524
2.881, 381
2.817, 466
2.718, 331


This entry pairs a crystal structure of NaWCl2O2 with its calculated X-ray powder pattern. Radiation: Cu Kα, 1.54184 Å. Structure: DFT lattice parameters and positions (GGA+U).

Unit cell a=3.8847 b=8.1985 c=8.1985 alpha=27.47 beta=90.00 gamma=90.00
Atoms (fractional coordinates):
Na: 0.0000 0.0000 0.0000
W: 0.5000 0.7176 0.7176
Cl: 0.5000 0.5575 0.5575
Cl: 0.5000 0.8716 0.8716
O: 0.0000 0.7149 0.7149
O: 0.5000 0.2147 0.2147

Main lines, in order of rising 2θ (15° ≤ 2θ ≤ 90°):
d/Å, I (rel.)
3.982, 393
3.885, 601
3.781, 1000
3.491, 519
2.710, 657
2.655, 315
2.192, 311
2.082, 288
1.964, 234
1.569, 233


This entry pairs a crystal structure of VPO4 with its calculated X-ray powder pattern. Radiation: Cu Kα, 1.54184 Å. Structure: DFT lattice parameters and positions (GGA+U).

Unit cell a=10.0409 b=5.9304 c=4.9453 alpha=90.00 beta=90.00 gamma=90.00
Atoms (fractional coordinates):
V: 0.2319 0.2500 0.0153
V: 0.2681 0.7500 0.5153
V: 0.7319 0.2500 0.4847
V: 0.7681 0.7500 0.9847
P: 0.0968 0.7500 0.0810
P: 0.4032 0.2500 0.5810
P: 0.5968 0.7500 0.4190
P: 0.9032 0.2500 0.9190
O: 0.0515 0.2500 0.8553
O: 0.1225 0.7500 0.7785
O: 0.1709 0.5478 0.2282
O: 0.1709 0.9522 0.2282
O: 0.3291 0.0478 0.7282
O: 0.3291 0.4522 0.7282
O: 0.3775 0.2500 0.2785
O: 0.4485 0.7500 0.3553
O: 0.5515 0.2500 0.6447
O: 0.6225 0.7500 0.7215
O: 0.6709 0.5478 0.2718
O: 0.6709 0.9522 0.2718
O: 0.8291 0.0478 0.7718
O: 0.8291 0.4522 0.7718
O: 0.8775 0.2500 0.2215
O: 0.9485 0.7500 0.1447

Main lines, in order of rising 2θ (15° ≤ 2θ ≤ 90°):
d/Å, I (rel.)
5.020, 644
4.436, 1000
3.832, 423
3.552, 687
2.965, 690
2.511, 992
2.465, 298
1.899, 232
1.776, 438
1.610, 369


This entry pairs a crystal structure of Rb3LiTbV2O8 with its calculated X-ray powder pattern. Radiation: Cu Kα, 1.54184 Å. Structure: DFT lattice parameters and positions (GGA+U).

Unit cell a=6.1416 b=6.2012 c=7.9582 alpha=84.28 beta=85.85 gamma=60.52
Atoms (fractional coordinates):
Rb: 0.0000 0.0000 0.0000
Rb: 0.2967 0.3055 0.3629
Rb: 0.6463 0.5510 0.6451
Li: 0.6391 0.9987 0.7629
Tb: 0.6365 0.6563 0.1629
V: 0.3069 0.3476 0.9292
V: 0.9608 0.9613 0.4269
O: 0.2761 0.8187 0.3546
O: 0.3564 0.3128 0.7105
O: 0.4559 0.5086 0.0130
O: 0.5070 0.0079 0.9981
O: 0.8107 0.2736 0.3459
O: 0.8121 0.8095 0.3533
O: 0.9346 0.9555 0.6451
O: 0.9886 0.4818 0.0153

Main lines, in order of rising 2θ (15° ≤ 2θ ≤ 90°):
d/Å, I (rel.)
3.307, 662
3.222, 796
3.140, 252
3.109, 976
3.084, 1000
3.063, 883
3.031, 659
2.312, 352
2.188, 398
2.153, 381


This entry pairs a crystal structure of Ba2NdWO6 with its calculated X-ray powder pattern. Radiation: Cu Kα, 1.54184 Å. Structure: DFT lattice parameters and positions (GGA+U).

Unit cell a=8.6758 b=8.6758 c=8.6758 alpha=90.00 beta=90.00 gamma=90.00
Atoms (fractional coordinates):
Ba: 0.2500 0.2500 0.2500
Ba: 0.2500 0.2500 0.7500
Ba: 0.2500 0.7500 0.2500
Ba: 0.2500 0.7500 0.7500
Ba: 0.7500 0.2500 0.2500
Ba: 0.7500 0.2500 0.7500
Ba: 0.7500 0.7500 0.2500
Ba: 0.7500 0.7500 0.7500
Nd: 0.0000 0.0000 0.0000
Nd: 0.0000 0.5000 0.5000
Nd: 0.5000 0.0000 0.5000
Nd: 0.5000 0.5000 0.0000
W: 0.0000 0.0000 0.5000
W: 0.0000 0.5000 0.0000
W: 0.5000 0.0000 0.0000
W: 0.5000 0.5000 0.5000
O: 0.0198 0.2311 0.5229
O: 0.0198 0.2689 0.9771
O: 0.0229 0.5198 0.7689
O: 0.0229 0.9802 0.7311
O: 0.2311 0.5229 0.0198
O: 0.2311 0.9771 0.4802
O: 0.2689 0.5229 0.4802
O: 0.2689 0.9771 0.0198
O: 0.4771 0.5198 0.7311
O: 0.4771 0.9802 0.7689
O: 0.4802 0.2311 0.9771
O: 0.4802 0.2689 0.5229
O: 0.5198 0.7311 0.4771
O: 0.5198 0.7689 0.0229
O: 0.5229 0.0198 0.2311
O: 0.5229 0.4802 0.2689
O: 0.7311 0.0229 0.9802
O: 0.7311 0.4771 0.5198
O: 0.7689 0.0229 0.5198
O: 0.7689 0.4771 0.9802
O: 0.9771 0.0198 0.2689
O: 0.9771 0.4802 0.2311
O: 0.9802 0.7311 0.0229
O: 0.9802 0.7689 0.4771

Main lines, in order of rising 2θ (15° ≤ 2θ ≤ 90°):
d/Å, I (rel.)
5.009, 16
4.338, 35
3.067, 1000
2.169, 276
1.940, 15
1.771, 422
1.534, 173
1.372, 185
1.252, 57
1.159, 223